1.
The following is a computed X-ray diffraction stick pattern of MgTaOs2. It was derived from a DFT-relaxed cell (GGA-PBE, OQMD), using copper Kα.
Lines closer than 0.1° are merged.

The 8 most intense peaks (2θ from 10° to 90°), in order of rising 2θ:
2θ (°)  intensity
20.04  20.7
28.49  10.8
40.54  100.0
40.72  49.4
58.96  16.8
73.62  17.5
74.00  34.6
87.72  11.5

Structural model:
```
4
Lattice="4.4311 0.0000 0.0000 0.0000 4.4311 0.0000 0.0000 0.0000 3.1608" Properties=species:S:1:pos:R:3 pbc="T T T"
Mg 0.0000 0.0000 0.0000
Ta 2.2156 2.2156 0.0000
Os 0.0000 2.2156 1.5804
Os 2.2156 0.0000 1.5804
```

2.
The following is a computed X-ray diffraction stick pattern of Cs2Fe. It was derived from a DFT-relaxed cell (GGA-PBE, OQMD), using copper Kα.
Lines closer than 0.1° are merged.

The 8 most intense peaks (2θ from 10° to 90°), in order of rising 2θ:
2θ (°)  intensity
13.76  19.8
19.50  20.4
20.49  100.0
21.83  40.4
26.66  32.7
27.72  20.3
33.25  45.2
51.86  22.8

Structural model:
```
6
Lattice="9.1025 0.0000 0.0000 0.0000 9.1025 0.0000 0.0000 0.0000 5.8629" Properties=species:S:1:pos:R:3 pbc="T T T"
Cs 1.7687 1.7687 0.0000
Cs 2.7826 6.3200 2.9314
Cs 6.3200 2.7826 2.9314
Cs 7.3338 7.3338 0.0000
Fe 0.0000 0.0000 2.9314
Fe 4.5513 4.5513 0.0000
```

3.
The following is a computed X-ray diffraction stick pattern of NbIBrClO. It was derived from a DFT-relaxed cell (GGA-PBE, OQMD), using copper Kα.
Lines closer than 0.1° are merged.

The 8 most intense peaks (2θ from 10° to 90°), in order of rising 2θ:
2θ (°)  intensity
12.58  53.4
23.65  45.6
23.82  41.1
26.48  50.1
29.61  100.0
43.77  23.9
43.93  30.6
55.53  25.8

Structural model:
```
10
Lattice="7.0580 -1.9794 0.0000 7.0580 1.9794 0.0000 -6.2903 0.0000 10.3712" Properties=species:S:1:pos:R:3 pbc="T T T"
Nb 0.5187 0.0000 1.9039
Nb 7.3070 0.0000 8.4673
I -1.0083 0.1946 4.0796
I 8.8340 0.1946 6.2916
Br 2.7724 0.1994 2.9063
Br 5.0533 0.1994 7.4649
Cl -4.7310 0.2172 9.9501
Cl 12.5567 0.2172 0.4212
O 0.2908 0.1617 8.5586
O 7.5350 0.1617 1.8126
```

4.
The following is a computed X-ray diffraction stick pattern of Y3Mg3CdGaCu. It was derived from a DFT-relaxed cell (GGA-PBE, OQMD), using copper Kα.
Lines closer than 0.1° are merged.

The 8 most intense peaks (2θ from 10° to 90°), in order of rising 2θ:
2θ (°)  intensity
23.89  34.8
31.73  100.0
34.72  98.9
36.86  28.6
41.87  29.0
42.01  35.7
42.58  31.2
66.82  24.8

Structural model:
```
9
Lattice="7.4499 0.0000 0.0000 -3.7250 6.4518 0.0000 0.0000 0.0000 4.3152" Properties=species:S:1:pos:R:3 pbc="T T T"
Y -2.1213 3.8721 0.0000
Y 1.4323 2.6786 0.0000
Y 0.6891 6.3529 0.0000
Mg -0.8838 1.5411 2.1576
Mg -1.9484 6.4467 2.1576
Mg 2.8323 4.9159 2.1576
Cd 3.7250 2.1506 2.1576
Ga 0.0000 4.3012 2.1576
Cu 0.0000 0.0000 0.0000
```

5.
The following is a computed X-ray diffraction stick pattern of CsHg3Te4Pt. It was derived from a DFT-relaxed cell (GGA-PBE, OQMD), using copper Kα.
Lines closer than 0.1° are merged.

The 8 most intense peaks (2θ from 10° to 90°), in order of rising 2θ:
2θ (°)  intensity
12.07  87.3
20.99  100.0
24.28  28.1
34.55  74.0
34.67  73.3
40.80  36.1
49.75  20.8
61.96  29.7

Structural model:
```
9
Lattice="5.1915 2.9973 4.2188 -5.1915 2.9973 4.2188 0.0000 -5.9946 4.2188" Properties=species:S:1:pos:R:3 pbc="T T T"
Cs 0.0000 0.0000 0.0000
Hg -2.5963 -1.4990 4.2284
Hg 2.5963 -1.4990 4.2284
Hg 0.0000 2.9979 4.2284
Te -2.1208 -1.2245 7.1977
Te 0.0000 0.0000 3.7556
Te 2.1208 -1.2245 7.1977
Te 0.0000 2.4489 7.1977
Pt 0.0000 0.0000 6.3422
```

6.
The following is a computed X-ray diffraction stick pattern of Pm2HgGe2. It was derived from a DFT-relaxed cell (GGA-PBE, OQMD), using copper Kα.
Lines closer than 0.1° are merged.

The 8 most intense peaks (2θ from 10° to 90°), in order of rising 2θ:
2θ (°)  intensity
26.73  28.8
31.68  98.8
33.77  27.0
33.92  100.0
37.90  60.0
42.16  30.1
54.75  23.4
57.97  35.1

Structural model:
```
20
Lattice="7.5069 0.0000 0.0000 0.0000 7.5069 0.0000 0.0000 0.0000 8.5739" Properties=species:S:1:pos:R:3 pbc="T T T"
Pm 1.3474 2.4063 0.0000
Pm 1.3471 2.4060 4.2869
Pm 2.4063 6.1594 0.0000
Pm 2.4060 6.1598 4.2869
Pm 5.1005 1.3474 0.0000
Pm 5.1009 1.3471 4.2869
Pm 6.1594 5.1005 0.0000
Pm 6.1598 5.1009 4.2869
Hg 0.0000 0.0000 2.1405
Hg 0.0000 0.0000 6.4334
Hg 3.7534 3.7534 2.1465
Hg 3.7534 3.7534 6.4274
Ge 0.8974 4.6508 2.1435
Ge 0.8974 4.6508 6.4304
Ge 2.8560 0.8974 2.1435
Ge 2.8560 0.8974 6.4304
Ge 4.6508 6.6095 2.1435
Ge 4.6508 6.6095 6.4304
Ge 6.6095 2.8560 2.1435
Ge 6.6095 2.8560 6.4304
```